Entry 1:
This entry pairs a crystal structure of PrDy4In3 with its theoretical powder diffraction line list. Radiation: Cu Kα (λ = 1.5418 Å). Structure: DFT lattice parameters and positions (GGA-PBE).
Peak positions follow from Bragg's law for the DFT cell and can differ from measured ones.

Top 8 peaks for 15° ≤ 2θ ≤ 90°, low angle first:
2θ/deg, Rel. int.
29.81, 758
30.89, 1000
33.23, 390
35.30, 495
36.14, 430
37.21, 910
63.64, 358
64.05, 422

Atomic structure:
Unit cell a=3.504 b=8.780 c=15.406 alpha=90.00 beta=90.00 gamma=90.00
Space group Immm (No. 71)
Asymmetric unit:
Pr: 0.000 0.000 0.000 (multiplicity 2)
Dy: 0.000 0.303 0.141 (multiplicity 8)
In: 0.000 0.000 0.500 (multiplicity 2)
In: 0.000 0.500 0.313 (multiplicity 4)

***

Entry 2:
This entry pairs a crystal structure of K3TlCu2Br8 with its theoretical powder diffraction line list. Radiation: Cu Kα (λ = 1.5418 Å). Structure: DFT lattice parameters and positions (GGA-PBE).
Peak positions follow from Bragg's law for the DFT cell and can differ from measured ones.

Top 8 peaks for 15° ≤ 2θ ≤ 90°, low angle first:
2θ/deg, Rel. int.
16.14, 1000
22.72, 563
28.00, 499
29.74, 426
32.60, 583
36.36, 285
46.41, 464
47.14, 352

Atomic structure:
Unit cell a=7.8264 b=7.8264 c=9.3760 alpha=90.00 beta=90.00 gamma=120.00
Space group P-3m1 (No. 164)
Asymmetric unit:
K: 0.0000 0.0000 0.0000 (multiplicity 1)
K: 0.3333 0.6667 0.6058 (multiplicity 2)
Tl: 0.0000 0.0000 0.5000 (multiplicity 1)
Cu: 0.3333 0.6667 0.1893 (multiplicity 2)
Br: 0.1720 0.3440 0.3107 (multiplicity 6)
Br: 0.3333 0.6667 0.9435 (multiplicity 2)

***

Entry 3:
This entry pairs a crystal structure of LiNd2Sn8 with its theoretical powder diffraction line list. Radiation: Cu Kα (λ = 1.5418 Å). Structure: DFT lattice parameters and positions (GGA-PBE).
Peak positions follow from Bragg's law for the DFT cell and can differ from measured ones.

Top 8 peaks for 15° ≤ 2θ ≤ 90°, low angle first:
2θ/deg, Rel. int.
30.13, 373
33.64, 210
33.76, 1000
38.43, 463
51.99, 251
62.43, 211
66.52, 415
88.31, 178

Atomic structure:
Unit cell a=4.685 b=4.685 c=13.320 alpha=90.00 beta=90.00 gamma=90.00
Space group P4/mmm (No. 123)
Asymmetric unit:
Li: 0.000 0.000 0.000 (multiplicity 1)
Nd: 0.000 0.000 0.321 (multiplicity 2)
Sn: 0.000 0.500 0.128 (multiplicity 4)
Sn: 0.000 0.500 0.500 (multiplicity 2)
Sn: 0.500 0.500 0.307 (multiplicity 2)